1.
This entry pairs a crystal structure of La2In4Pd3 with its theoretical powder diffraction line list. Radiation: CuKα. Structure: the PBE geometry in OQMD.
Lines closer than 0.1° are merged.

Crystal structure
abc: 21.9127 4.4921 8.4889
angles: 90.00 90.00 90.00
Space group Pnma (No. 62)
Symmetry-distinct sites (fractional):
La 0.1171 0.2500 0.1250 x4
La 0.1421 0.2500 0.6215 x4
In 0.0012 0.2500 0.3849 x4
In 0.0025 0.2500 0.8622 x4
In 0.2051 0.7500 0.9232 x4
In 0.2095 0.7500 0.3114 x4
Pd 0.0804 0.7500 0.8689 x4
Pd 0.0873 0.7500 0.3840 x4
Pd 0.2478 0.2500 0.1175 x4

Top 8 peaks for 10° ≤ 2θ ≤ 90°, low angle first:
(hkl), d/Å, 2theta, intensity
5 0 2, 3.052, 29.3, 20
3 1 2, 2.840, 31.5, 100
5 1 2, 2.522, 35.6, 29
8 1 0, 2.339, 38.5, 18
0 2 0, 2.246, 40.1, 35
7 1 2, 2.197, 41.1, 18
0 0 4, 2.122, 42.6, 19
9 0 2, 2.112, 42.8, 19

2.
This entry pairs a crystal structure of HfMgTlNi with its theoretical powder diffraction line list. Radiation: CuKα. Structure: the PBE geometry in OQMD.
Lines closer than 0.1° are merged.

Crystal structure
abc: 6.6019 6.6019 6.6019
angles: 90.00 90.00 90.00
Space group F-43m (No. 216)
Symmetry-distinct sites (fractional):
Hf 0.0000 0.0000 0.0000 x4
Mg 0.2500 0.2500 0.2500 x4
Tl 0.0000 0.0000 0.5000 x4
Ni 0.2500 0.2500 0.7500 x4

Top 8 peaks for 10° ≤ 2θ ≤ 90°, low angle first:
(hkl), d/Å, 2theta, intensity
2 0 0, 3.301, 27.0, 47
2 2 0, 2.334, 38.6, 100
2 2 2, 1.906, 47.7, 14
4 0 0, 1.650, 55.7, 17
4 2 0, 1.476, 63.0, 19
4 2 2, 1.348, 69.8, 35
4 4 0, 1.167, 82.7, 11
6 0 0, 1.100, 89.0, 10

3.
This entry pairs a crystal structure of Zr3CdB4 with its theoretical powder diffraction line list. Radiation: CuKα. Structure: the PBE geometry in OQMD.
Lines closer than 0.1° are merged.

Crystal structure
abc: 3.1903 3.5088 9.3972
angles: 90.00 90.00 90.00
Space group Pmmm (No. 47)
Symmetry-distinct sites (fractional):
Zr 0.0000 0.0000 0.0000 x1
Zr 0.5000 0.0000 0.2929 x2
Cd 0.0000 0.5000 0.5000 x1
B 0.0000 0.5000 0.1929 x2
B 0.5000 0.5000 0.1022 x2

Top 8 peaks for 10° ≤ 2θ ≤ 90°, low angle first:
(hkl), d/Å, 2theta, intensity
0 1 1, 3.287, 27.1, 28
0 1 2, 2.811, 31.8, 29
1 0 2, 2.639, 34.0, 100
1 1 0, 2.360, 38.1, 25
0 1 3, 2.337, 38.5, 75
1 1 1, 2.289, 39.4, 75
1 1 5, 1.470, 63.2, 33
1 2 2, 1.461, 63.7, 31

4.
This entry pairs a crystal structure of Ta2BiAsOs2 with its theoretical powder diffraction line list. Radiation: CuKα. Structure: the PBE geometry in OQMD.
Lines closer than 0.1° are merged.

Crystal structure
abc: 10.7105 4.3626 10.7644
angles: 90.00 109.56 90.00
Space group Pm (No. 6)
Symmetry-distinct sites (fractional):
Ta 0.0000 0.0000 0.0000 x1
Ta 0.1166 0.5000 0.3745 x1
Ta 0.2409 0.0000 0.7434 x1
Ta 0.3751 0.5000 0.1361 x1
Ta 0.5001 0.0000 0.4995 x1
Ta 0.6265 0.5000 0.8655 x1
Ta 0.7465 0.0000 0.2602 x1
Ta 0.8686 0.5000 0.6208 x1
Bi 0.1208 0.5000 0.8761 x1
Bi 0.3707 0.5000 0.6204 x1
Bi 0.5010 0.0000 0.0037 x1
Bi 0.8707 0.5000 0.1263 x1
As 0.2475 0.0000 0.2540 x1
As 0.6213 0.5000 0.3773 x1
As 0.7476 0.0000 0.7443 x1
As 0.9933 0.0000 0.4989 x1
Os 0.1317 0.5000 0.1347 x1
Os 0.2344 0.0000 0.4904 x1
Os 0.3711 0.5000 0.8723 x1
Os 0.5000 0.0000 0.2624 x1
Os 0.6274 0.5000 0.6205 x1
Os 0.7507 0.0000 0.9850 x1
Os 0.8661 0.5000 0.3804 x1
Os 0.9886 0.0000 0.7401 x1

Top 8 peaks for 10° ≤ 2θ ≤ 90°, low angle first:
(hkl), d/Å, 2theta, intensity
1 0 -3, 3.588, 24.8, 17
1 1 1, 3.568, 25.0, 52
2 0 2, 3.094, 28.9, 19
0 1 4, 2.193, 41.2, 99
0 2 0, 2.183, 41.4, 100
1 2 -3, 1.865, 48.8, 20
4 2 -4, 1.547, 59.8, 33
0 3 4, 1.262, 75.3, 39